No. 1
# CuSb2O6
Calculated X-ray powder pattern, λ = 1.5418 Å (Cu Kα). Input: a structure optimized by DFT (GGA-PBE).
No peak broadening, texture or thermal motion is included.

Unit cell a=4.7105 b=4.7476 c=10.5011 alpha=90.00 beta=116.47 gamma=90.00
Atoms (fractional coordinates):
Cu  0.0000  0.0000  0.0000
Cu  0.0000  0.5000  0.5000
Sb  0.3326  0.0026  0.3326
Sb  0.3326  0.4974  0.8326
Sb  0.6674  0.5026  0.1674
Sb  0.6674  0.9974  0.6674
O  0.0321  0.1871  0.8293
O  0.0321  0.3129  0.3293
O  0.3036  0.6852  0.9997
O  0.3036  0.8148  0.4997
O  0.3747  0.1933  0.1714
O  0.3747  0.3067  0.6714
O  0.6253  0.6933  0.3286
O  0.6253  0.8067  0.8286
O  0.6964  0.1852  0.5003
O  0.6964  0.3148  0.0003
O  0.9679  0.6871  0.6707
O  0.9679  0.8129  0.1707

Main lines, by angle (10 to 90 degrees two-theta):
d [Å]	I/Imax
3.344	100
2.614	56
2.605	19
2.374	11
2.355	10
1.756	32
1.752	17
1.748	17
1.672	16
1.413	10

No. 2
# Mg14BiB
Calculated X-ray powder pattern, λ = 1.5418 Å (Cu Kα). Input: a structure optimized by DFT (GGA-PBE).
No peak broadening, texture or thermal motion is included.

Unit cell a=9.9831 b=6.3882 c=6.3882 alpha=61.76 beta=90.00 gamma=90.00
Atoms (fractional coordinates):
Mg  0.0000  0.0000  0.0000
Mg  0.0000  0.0093  0.4971
Mg  0.0000  0.4971  0.0093
Mg  0.0000  0.4986  0.4986
Mg  0.2428  0.6722  0.6722
Mg  0.2611  0.1637  0.1637
Mg  0.2659  0.1547  0.6919
Mg  0.2659  0.6919  0.1547
Mg  0.5000  0.4796  0.9893
Mg  0.5000  0.9893  0.4796
Mg  0.7341  0.1547  0.6919
Mg  0.7341  0.6919  0.1547
Mg  0.7389  0.1637  0.1637
Mg  0.7572  0.6722  0.6722
Bi  0.5000  0.5007  0.5007
B  0.5000  0.0523  0.0523

Main lines, by angle (10 to 90 degrees two-theta):
d [Å]	I/Imax
5.628	50
4.903	81
4.806	30
3.734	52
3.041	30
2.864	27
2.814	27
2.496	33
2.451	100
2.403	42